[1]
This entry pairs a crystal structure of PuNO3 with its calculated X-ray powder pattern. Radiation: a wavelength of 1.5418 Å. Structure: a crystal structure in Alexandria, relaxed with GGA-PBE.
Intensities are scaled so that the largest is 100.

Main lines, by intensity (2θ from 10° to 80°):
2θ/deg  d_spacing  I (rel.)  (hkl)
13.24  6.686  100  0 2 0
24.88  3.578  46  2 2 0
20.97  4.236  32  2 0 0
36.41  2.467  28  2 2 2
29.42  3.036  25  0 2 2
37.70  2.386  21  0 4 2
26.67  3.343  19  0 4 0
26.15  3.407  18  0 0 2
43.53  2.079  18  2 4 2
53.70  1.707  13  2 6 2

Atomic structure:
```
data_PuNO3
_chemical_formula_sum 'Pu8 N8 O24'
_space_group_name_H-M_alt 'C c c e'
_space_group_IT_number 68
_cell_length_a 8.4719
_cell_length_b 13.3721
_cell_length_c 6.8143
_cell_angle_alpha 90.00
_cell_angle_beta 90.00
_cell_angle_gamma 90.00
loop_
_space_group_symop_operation_xyz
'x,y,z'
'-x,-y,-z'
'-x+1/2,-y,z'
'x+1/2,y,-z'
'x+1/2,-y,-z+1/2'
'-x+1/2,y,z+1/2'
'-x,y,-z+1/2'
'x,-y,z+1/2'
'x+1/2,y+1/2,z'
'-x+1/2,-y+1/2,-z'
'-x,-y+1/2,z'
'x,y+1/2,-z'
'x,-y+1/2,-z+1/2'
'-x,y+1/2,z+1/2'
'-x+1/2,y+1/2,-z+1/2'
'x+1/2,-y+1/2,z+1/2'
loop_
_atom_site_label
_atom_site_fract_x
_atom_site_fract_y
_atom_site_fract_z
Pu1 0.0000 0.2500 0.2500
Pu2 0.0000 0.2500 0.7500
N1 0.2500 0.0000 0.2470
O1 0.9999 0.1571 0.0345
O2 0.2187 0.2500 0.7500
```


[2]
This entry pairs a crystal structure of BaSb2Au6 with its calculated X-ray powder pattern. Radiation: a wavelength of 1.5418 Å. Structure: a crystal structure in Alexandria, relaxed with GGA-PBE.
Intensities are scaled so that the largest is 100.

Main lines, by intensity (2θ from 10° to 80°):
2θ/deg  d_spacing  I (rel.)  (hkl)
39.32  2.291  100  1 1 3
37.34  2.408  85  2 0 0
32.60  2.747  75  1 1 2
68.67  1.367  39  3 1 3
53.84  1.703  30  2 2 0
72.58  1.303  23  2 0 6
64.37  1.447  22  3 1 2
38.62  2.331  17  2 0 1
47.37  1.919  16  1 1 4
26.66  3.344  12  1 0 2

Atomic structure:
```
data_BaSb2Au6
_chemical_formula_sum 'Ba1 Sb2 Au6'
_space_group_name_H-M_alt 'P 4/m m m'
_space_group_IT_number 123
_space_group_name_Hall '-P 4 2'
_cell_length_a 4.8163
_cell_length_b 4.8163
_cell_length_c 9.2917
_cell_angle_alpha 90.00
_cell_angle_beta 90.00
_cell_angle_gamma 90.00
loop_
_atom_site_label
_atom_site_fract_x
_atom_site_fract_y
_atom_site_fract_z
Ba1 0.0000 0.0000 0.0000
Sb1 0.5000 0.5000 0.1741
Au1 0.0000 0.0000 0.5000
Au2 0.0000 0.5000 0.3237
Au3 0.5000 0.5000 0.5000
```


[3]
This entry pairs a crystal structure of K5Na with its calculated X-ray powder pattern. Radiation: a wavelength of 1.5418 Å. Structure: a crystal structure in Alexandria, relaxed with GGA-PBE.
Intensities are scaled so that the largest is 100.

Main lines, by intensity (2θ from 10° to 80°):
2θ/deg  d_spacing  I (rel.)  (hkl)
24.87  3.579  100  1 3 0
24.18  3.681  97  0 3 2
25.44  3.501  90  1 0 2
44.91  2.018  33  2 3 2
42.61  2.122  31  1 6 2
43.67  2.073  24  1 3 4
33.60  2.667  19  0 6 0
37.25  2.414  17  2 0 0
35.30  2.543  13  0 0 4
39.54  2.279  10  1 4 3

Atomic structure:
```
data_K5Na
_chemical_formula_sum 'K10 Na2'
_space_group_name_H-M_alt 'P m m n'
_space_group_IT_number 59
_cell_length_a 4.8275
_cell_length_b 16.0041
_cell_length_c 10.1701
_cell_angle_alpha 90.00
_cell_angle_beta 90.00
_cell_angle_gamma 90.00
loop_
_space_group_symop_operation_xyz
'x,y,z'
'-x,-y,-z'
'-x+1/2,-y+1/2,z'
'x+1/2,y+1/2,-z'
'x+1/2,-y,-z'
'-x+1/2,y,z'
'-x,y+1/2,-z'
'x,-y+1/2,z'
loop_
_atom_site_label
_atom_site_fract_x
_atom_site_fract_y
_atom_site_fract_z
K1 0.2500 0.0786 0.1490
K2 0.2500 0.1052 0.5958
K3 0.2500 0.7500 0.1046
Na1 0.2500 0.7500 0.6522
```


[4]
This entry pairs a crystal structure of LaPr2N3 with its calculated X-ray powder pattern. Radiation: a wavelength of 1.5418 Å. Structure: a crystal structure in Alexandria, relaxed with GGA-PBE.
Intensities are scaled so that the largest is 100.

Main lines, by intensity (2θ from 10° to 80°):
2θ/deg  d_spacing  I (rel.)  (hkl)
29.47  3.031  100  1 1 0
34.16  2.625  76  1 0 3
49.09  1.856  53  2 0 0
58.30  1.583  46  2 1 3
79.60  1.204  19  3 1 0
61.16  1.515  18  2 2 0
71.91  1.313  5  2 0 6
72.02  1.311  3  0 4 0

Atomic structure:
```
data_LaPr2N3
_chemical_formula_sum 'La2 Pr4 N6'
_space_group_name_H-M_alt 'I m m m'
_space_group_IT_number 71
_space_group_name_Hall '-I 2 2'
_cell_length_a 3.7126
_cell_length_b 5.2448
_cell_length_c 11.1435
_cell_angle_alpha 90.00
_cell_angle_beta 90.00
_cell_angle_gamma 90.00
loop_
_atom_site_label
_atom_site_fract_x
_atom_site_fract_y
_atom_site_fract_z
La1 0.0000 0.0000 0.0000
Pr1 0.0000 0.0000 0.3329
N1 0.0000 0.5000 0.0000
N2 0.0000 0.5000 0.3318
```